Rb4TeI7: computed powder X-ray diffraction pattern (CuKα), based on a crystal structure in Alexandria, relaxed with PBE.

Principal peaks in the range 15° ≤ 2θ ≤ 90°, in order of rising 2θ:
Position (°2θ)  d_spacing  I (rel.)
18.6  4.765  69.2
21.4  4.146  36.2
23.2  3.839  63.9
24.9  3.582  42.9
26.0  3.430  100.0
29.1  3.065  99.6
29.6  3.014  64.7
37.5  2.397  52.4
37.8  2.382  41.9
48.4  1.881  39.8

Structural model:
```
Rb4TeI7
1.0
9.623 -3.065 0.000
9.623 3.065 0.000
-6.315 0.000 10.745
Rb Te I
4 1 7
Direct
0.048 0.048 0.230
0.218 0.218 0.816
0.782 0.782 0.184
0.952 0.952 0.770
0.500 0.500 0.500
0.000 0.000 0.500
0.156 0.156 0.063
0.253 0.253 0.518
0.433 0.433 0.226
0.567 0.567 0.774
0.747 0.747 0.482
0.844 0.844 0.937
```